Record 1
Diffraction record for La2Th11O26. The powder X-ray diffraction pattern is theoretical, not measured: it uses a cell relaxed with GGA-PBE and Cu Kα X-rays.

Largest 9 diffraction maxima, by angle, 15° ≤ 2θ ≤ 90°:
two_theta	I_rel
27.4	100
31.7	36
45.5	51
53.9	48
56.5	11
66.3	8
73.1	20
75.3	14
84.0	17

Structure:
abc: 6.9084 6.9092 12.6177
angles: 90.01 100.52 99.60
Atoms (fractional coordinates):
La  0.1924  0.1154  0.2694
La  0.8076  0.8846  0.7306
Th  0.0375  0.4228  0.6542
Th  0.1153  0.2680  0.9619
Th  0.2691  0.9616  0.5769
Th  0.3462  0.8079  0.8838
Th  0.4220  0.6535  0.1924
Th  0.5000  0.5000  0.5000
Th  0.5780  0.3465  0.8076
Th  0.6538  0.1921  0.1162
Th  0.7309  0.0384  0.4231
Th  0.8847  0.7320  0.0381
Th  0.9625  0.5772  0.3458
O  0.0348  0.9172  0.4069
O  0.0451  0.9237  0.9078
O  0.1130  0.7607  0.2094
O  0.1224  0.7651  0.7110
O  0.1916  0.6136  0.5194
O  0.1919  0.6151  0.0185
O  0.2695  0.4604  0.8271
O  0.2717  0.4703  0.3288
O  0.3457  0.3093  0.6350
O  0.3499  0.3124  0.1313
O  0.4244  0.1540  0.9424
O  0.4291  0.1560  0.4467
O  0.4930  0.0040  0.7505
O  0.5070  0.9960  0.2495
O  0.5709  0.8440  0.5533
O  0.5756  0.8460  0.0576
O  0.6501  0.6876  0.8687
O  0.6543  0.6907  0.3650
O  0.7283  0.5297  0.6712
O  0.7305  0.5396  0.1729
O  0.8081  0.3849  0.9815
O  0.8084  0.3864  0.4806
O  0.8776  0.2349  0.2890
O  0.8870  0.2393  0.7906
O  0.9549  0.0763  0.0922
O  0.9652  0.0828  0.5931

=====

Record 2
Diffraction record for LaTi2O6. The powder X-ray diffraction pattern is theoretical, not measured: it uses a cell relaxed with GGA-PBE and Cu Kα X-rays.

Largest 12 diffraction maxima, by angle, 15° ≤ 2θ ≤ 90°:
two_theta	I_rel
19.8	100
32.6	90
38.4	55
40.2	16
46.8	42
51.2	24
58.2	35
62.1	18
68.3	23
71.9	17
77.7	15
86.8	8

Structure:
abc: 5.4947 5.4947 5.4947
angles: 120.01 120.01 89.98
Atoms (fractional coordinates):
La  0.0000  0.0000  0.0000
Ti  0.2500  0.7500  0.5000
Ti  0.7500  0.2500  0.5000
O  0.0000  0.5000  0.5000
O  0.0125  0.0125  0.5312
O  0.4813  0.4813  0.4688
O  0.5000  0.0000  0.5000
O  0.5187  0.9875  0.0000
O  0.9875  0.5187  0.0000

=====

Record 3
Diffraction record for La2TiO5. The powder X-ray diffraction pattern is theoretical, not measured: it uses a cell relaxed with GGA-PBE and Cu Kα X-rays.

Largest 12 diffraction maxima, by angle, 15° ≤ 2θ ≤ 90°:
two_theta	I_rel
24.5	25
27.8	100
28.3	70
28.7	16
32.6	33
33.6	19
40.9	14
46.1	27
46.6	32
48.0	14
53.7	17
55.0	25

Structure:
abc: 11.0704 3.9357 11.5358
angles: 90.00 90.00 90.00
Atoms (fractional coordinates):
La  0.0979  0.2500  0.2171
La  0.1367  0.2500  0.5593
La  0.3633  0.7500  0.0593
La  0.4021  0.7500  0.7171
La  0.5979  0.2500  0.2829
La  0.6367  0.2500  0.9407
La  0.8633  0.7500  0.4407
La  0.9021  0.7500  0.7829
Ti  0.1918  0.2500  0.8728
Ti  0.3082  0.7500  0.3728
Ti  0.6918  0.2500  0.6272
Ti  0.8082  0.7500  0.1272
O  0.0083  0.7500  0.6022
O  0.0355  0.2500  0.8327
O  0.2211  0.7500  0.2293
O  0.2262  0.2500  0.0341
O  0.2390  0.7500  0.8763
O  0.2610  0.2500  0.3763
O  0.2738  0.7500  0.5341
O  0.2789  0.2500  0.7293
O  0.4645  0.7500  0.3327
O  0.4917  0.2500  0.1022
O  0.5083  0.7500  0.8978
O  0.5355  0.2500  0.6673
O  0.7211  0.7500  0.2707
O  0.7262  0.2500  0.4659
O  0.7390  0.7500  0.6237
O  0.7610  0.2500  0.1237
O  0.7738  0.7500  0.9659
O  0.7789  0.2500  0.7707
O  0.9645  0.7500  0.1673
O  0.9917  0.2500  0.3978

=====

Record 4
Diffraction record for La4Ti3O12. The powder X-ray diffraction pattern is theoretical, not measured: it uses a cell relaxed with GGA-PBE and Cu Kα X-rays.

Largest 12 diffraction maxima, by angle, 15° ≤ 2θ ≤ 90°:
two_theta	I_rel
22.2	35
22.3	77
24.9	29
25.3	26
31.4	100
31.6	59
31.8	41
32.2	94
39.2	29
45.5	29
45.7	25
56.7	26

Structure:
abc: 5.5755 5.7121 7.9712
angles: 91.23 90.69 90.52
Atoms (fractional coordinates):
La  0.0106  0.0420  0.2686
La  0.4870  0.5717  0.2739
La  0.5130  0.4283  0.7261
La  0.9894  0.9580  0.7314
Ti  0.0000  0.5000  0.0000
Ti  0.0000  0.5000  0.5000
Ti  0.5000  0.0000  0.0000
O  0.0832  0.5150  0.7570
O  0.1771  0.7855  0.4611
O  0.2156  0.7805  0.0483
O  0.2767  0.2887  0.0500
O  0.2832  0.3230  0.4561
O  0.4071  0.0209  0.7738
O  0.5929  0.9791  0.2262
O  0.7168  0.6770  0.5439
O  0.7233  0.7113  0.9500
O  0.7844  0.2195  0.9517
O  0.8229  0.2145  0.5389
O  0.9168  0.4850  0.2430

=====

Record 5
Diffraction record for La5Ti4O15. The powder X-ray diffraction pattern is theoretical, not measured: it uses a cell relaxed with GGA-PBE and Cu Kα X-rays.

Largest 12 diffraction maxima, by angle, 15° ≤ 2θ ≤ 90°:
two_theta	I_rel
20.1	20
24.4	14
30.2	100
32.2	81
40.8	18
44.8	57
52.4	26
56.2	36
57.4	18
67.4	16
72.4	17
75.6	14

Structure:
abc: 5.5583 5.5583 22.4611
angles: 90.00 90.00 120.00
Atoms (fractional coordinates):
La  0.0000  0.0000  0.0000
La  0.0000  0.0000  0.5000
La  0.3333  0.6667  0.2147
La  0.3333  0.6667  0.3909
La  0.3333  0.6667  0.7147
La  0.3333  0.6667  0.8909
La  0.6667  0.3333  0.1091
La  0.6667  0.3333  0.2853
La  0.6667  0.3333  0.6091
La  0.6667  0.3333  0.7853
Ti  0.0000  0.0000  0.1574
Ti  0.0000  0.0000  0.3426
Ti  0.0000  0.0000  0.6574
Ti  0.0000  0.0000  0.8426
Ti  0.3333  0.6667  0.0511
Ti  0.3333  0.6667  0.5511
Ti  0.6667  0.3333  0.4489
Ti  0.6667  0.3333  0.9489
O  0.0000  0.5000  0.0000
O  0.0000  0.5000  0.5000
O  0.1174  0.3451  0.3036
O  0.1174  0.7723  0.8036
O  0.1225  0.3267  0.5993
O  0.1225  0.7958  0.0993
O  0.2042  0.3267  0.0993
O  0.2042  0.8775  0.5993
O  0.2277  0.3451  0.8036
O  0.2277  0.8826  0.3036
O  0.3267  0.1225  0.9007
O  0.3267  0.2042  0.4007
O  0.3451  0.1174  0.1964
O  0.3451  0.2277  0.6964
O  0.5000  0.0000  0.0000
O  0.5000  0.0000  0.5000
O  0.5000  0.5000  0.0000
O  0.5000  0.5000  0.5000
O  0.6549  0.7723  0.3036
O  0.6549  0.8826  0.8036
O  0.6733  0.7958  0.5993
O  0.6733  0.8775  0.0993
O  0.7723  0.1174  0.6964
O  0.7723  0.6549  0.1964
O  0.7958  0.1225  0.4007
O  0.7958  0.6733  0.9007
O  0.8775  0.2042  0.9007
O  0.8775  0.6733  0.4007
O  0.8826  0.2277  0.1964
O  0.8826  0.6549  0.6964

=====

Q: Which formula does entry 5 have?
A: La5Ti4O15